Starting from a crystal structure in Alexandria, relaxed with GGA-PBE, the powder diffractogram of K3SeO4F was calculated for Cu Kα, 1.54184 Å.

```
data_K3SeO4F
_cell_length_a 7.467
_cell_length_b 7.467
_cell_length_c 11.669
_cell_angle_alpha 90.00
_cell_angle_beta 90.00
_cell_angle_gamma 90.00
_symmetry_space_group_name_H-M 'I 4/m c m'
_symmetry_Int_Tables_number 140
_symmetry_space_group_name_Hall '-I 4 2c'
loop_
_atom_site_label
_atom_site_type_symbol
_atom_site_fract_x
_atom_site_fract_y
_atom_site_fract_z
_atom_site_occupancy
K1 K 0.000 0.000 0.250 1
K2 K 0.192 0.308 0.000 1
Se1 Se 0.000 0.500 0.250 1
O1 O 0.128 0.372 0.335 1
F1 F 0.000 0.000 0.000 1
```

Most intense lines, 2θ from 15° to 90°, by intensity:
- (2 0 2), 2θ 28.4, I 100.0
- (2 1 3), 2θ 35.4, I 41.1
- (2 2 0), 2θ 34.0, I 40.9
- (2 2 4), 2θ 46.4, I 31.5
- (1 1 2), 2θ 22.7, I 28.1
- (1 1 0), 2θ 16.8, I 27.4
- (0 0 4), 2θ 30.6, I 27.3
- (2 0 0), 2θ 23.8, I 18.2
- (2 0 6), 2θ 53.1, I 16.3
- (4 0 4), 2θ 58.7, I 13.9